# TbSmSiPt
Computed X-ray diffraction stick pattern, Cu Ka. Input: a GGA-PBE-relaxed structure.

Atomic structure:
Cell lengths 4.185, 4.063, 10.896 Å; angles 90.00, 90.00, 90.00 degrees
Space group Amm2 (No. 38)
Asymmetric unit:
Tb (0.000, 0.000, 0.000)
Sm (0.500, 0.000, 0.281)
Si (0.000, 0.000, 0.711)
Pt (0.500, 0.000, 0.560)

The 10 most intense peaks (2θ = 10–90°), sorted by position:
16.27 deg, I 22, (0 0 2); 31.78 deg, I 100, (1 1 1); 32.88 deg, I 26, (0 0 4); 33.08 deg, I 35, (0 1 3); 39.47 deg, I 21, (1 0 4); 39.65 deg, I 53, (1 1 3); 43.24 deg, I 22, (2 0 0); 44.61 deg, I 20, (0 2 0); 55.50 deg, I 16, (2 1 3); 80.45 deg, I 14, (2 1 7)


# Sm2Si4TcPt3
Computed X-ray diffraction stick pattern, Cu Ka. Input: a GGA-PBE-relaxed structure.

Atomic structure:
Cell lengths 4.225, 4.225, 9.885 Å; angles 90.00, 90.00, 90.00 degrees
Space group P-4m2 (No. 115)
Asymmetric unit:
Sm (0.000, 0.500, 0.245)
Si (0.000, 0.000, 0.000)
Si (0.000, 0.500, 0.627)
Si (0.500, 0.500, 0.000)
Tc (0.000, 0.000, 0.500)
Pt (0.000, 0.500, 0.875)
Pt (0.500, 0.500, 0.500)

The 10 most intense peaks (2θ = 10–90°), sorted by position:
27.06 deg, I 28, (0 0 3); 27.78 deg, I 44, (1 0 2); 29.91 deg, I 27, (1 1 0); 31.28 deg, I 73, (1 1 1); 34.52 deg, I 94, (1 0 3); 35.10 deg, I 100, (1 1 2); 42.80 deg, I 81, (2 0 0); 51.00 deg, I 31, (1 0 5); 56.11 deg, I 47, (2 1 3); 62.14 deg, I 27, (2 2 0)


# SrSiSn2Pt5
Computed X-ray diffraction stick pattern, Cu Ka. Input: a GGA-PBE-relaxed structure.

Atomic structure:
Cell lengths 4.698, 5.683, 14.132 Å; angles 90.00, 90.00, 90.00 degrees
Space group Immm (No. 71)
Asymmetric unit:
Sr (0.000, 0.000, 0.000)
Si (0.000, 0.000, 0.500)
Sn (0.000, 0.500, 0.197)
Pt (0.000, 0.252, 0.361)
Pt (0.000, 0.500, 0.000)

The 10 most intense peaks (2θ = 10–90°), sorted by position:
24.58 deg, I 24, (1 1 0); 26.80 deg, I 90, (1 0 3); 37.12 deg, I 42, (1 0 5); 37.54 deg, I 100, (1 2 1); 38.21 deg, I 23, (0 0 6); 38.32 deg, I 61, (2 0 0); 40.75 deg, I 69, (0 2 4); 41.81 deg, I 43, (1 2 3); 57.17 deg, I 52, (2 2 4); 59.52 deg, I 27, (1 2 7)


# SrSiPt2
Computed X-ray diffraction stick pattern, Cu Ka. Input: a GGA-PBE-relaxed structure.

Atomic structure:
Cell lengths 7.652, 6.929, 5.818 Å; angles 90.00, 90.00, 90.00 degrees
Space group Pnma (No. 62)
Asymmetric unit:
Sr (0.022, 0.250, 0.127)
Si (0.129, 0.750, 0.368)
Pt (0.165, 0.054, 0.599)

The 10 most intense peaks (2θ = 10–90°), sorted by position:
19.16 deg, I 48, (1 0 1); 32.27 deg, I 64, (1 2 1); 32.94 deg, I 96, (1 0 2); 34.94 deg, I 46, (2 2 0); 35.46 deg, I 49, (1 1 2); 38.31 deg, I 50, (2 2 1); 38.54 deg, I 100, (3 0 1); 42.25 deg, I 67, (1 2 2); 43.80 deg, I 61, (1 3 1); 63.00 deg, I 45, (3 3 2)


# SrSi3Pt5
Computed X-ray diffraction stick pattern, Cu Ka. Input: a GGA-PBE-relaxed structure.

Atomic structure:
Cell lengths 3.980, 12.599, 12.770 Å; angles 90.00, 90.00, 90.00 degrees
Space group Cmcm (No. 63)
Asymmetric unit:
Sr (0.000, 0.156, 0.250)
Si (0.000, 0.115, 0.750)
Si (0.000, 0.386, 0.539)
Pt (0.000, 0.000, 0.000)
Pt (0.000, 0.207, 0.577)
Pt (0.000, 0.448, 0.144)

The 10 most intense peaks (2θ = 10–90°), sorted by position:
13.87 deg, I 54, (0 0 2); 15.69 deg, I 55, (0 2 1); 25.25 deg, I 39, (0 2 3); 31.61 deg, I 100, (1 1 3); 31.76 deg, I 61, (1 3 1); 36.79 deg, I 89, (1 1 4); 37.63 deg, I 41, (1 3 3); 42.46 deg, I 44, (1 5 0); 44.92 deg, I 89, (0 2 6); 45.58 deg, I 57, (2 0 0)


# Sr2SiPt3
Computed X-ray diffraction stick pattern, Cu Ka. Input: a GGA-PBE-relaxed structure.

Atomic structure:
Cell lengths 4.117, 4.456, 7.794 Å; angles 90.00, 90.00, 90.00 degrees
Space group Pmm2 (No. 25)
Asymmetric unit:
Sr (0.000, 0.000, 0.000)
Sr (0.500, 0.000, 0.475)
Si (0.000, 0.500, 0.657)
Pt (0.000, 0.500, 0.361)
Pt (0.500, 0.500, 0.141)
Pt (0.500, 0.500, 0.805)

The 10 most intense peaks (2θ = 10–90°), sorted by position:
19.92 deg, I 51, (0 1 0); 30.47 deg, I 34, (0 1 2); 31.74 deg, I 100, (1 1 1); 37.65 deg, I 19, (1 1 2); 40.49 deg, I 28, (0 2 0); 41.08 deg, I 45, (1 0 3); 43.98 deg, I 22, (2 0 0); 46.06 deg, I 17, (1 1 3); 59.05 deg, I 31, (1 2 3); 61.31 deg, I 17, (2 2 0)


# Sr2Si3Pt9
Computed X-ray diffraction stick pattern, Cu Ka. Input: a GGA-PBE-relaxed structure.

Atomic structure:
Cell lengths 13.332, 7.679, 10.304 Å; angles 90.00, 115.54, 90.00 degrees
Space group C2/c (No. 15)
Asymmetric unit:
Sr (0.170, 0.084, 0.249)
Si (0.088, 0.235, 0.499)
Si (0.250, 0.250, 0.000)
Pt (0.000, 0.362, 0.250)
Pt (0.061, 0.082, 0.929)
Pt (0.100, 0.413, 0.056)
Pt (0.107, 0.309, 0.745)
Pt (0.225, 0.419, 0.432)

The 10 most intense peaks (2θ = 10–90°), sorted by position:
30.17 deg, I 36, (3 1 -3); 35.84 deg, I 11, (1 3 0); 37.27 deg, I 100, (0 2 3); 40.65 deg, I 56, (3 3 -1); 45.28 deg, I 22, (6 0 0); 48.36 deg, I 12, (6 2 -3); 56.33 deg, I 16, (6 2 -5); 70.46 deg, I 13, (6 2 3); 71.72 deg, I 27, (6 4 1); 71.81 deg, I 14, (3 5 -4)


# SrSi4Pt4
Computed X-ray diffraction stick pattern, Cu Ka. Input: a GGA-PBE-relaxed structure.

Atomic structure:
Cell lengths 8.424, 8.424, 4.661 Å; angles 90.00, 90.00, 90.00 degrees
Space group I4/m (No. 87)
Asymmetric unit:
Sr (0.000, 0.000, 0.000)
Si (0.115, 0.385, 0.000)
Pt (0.165, 0.315, 0.500)

The 10 most intense peaks (2θ = 10–90°), sorted by position:
21.09 deg, I 30, (2 0 0); 30.00 deg, I 13, (2 2 0); 30.51 deg, I 100, (2 1 1); 33.64 deg, I 38, (1 3 0); 38.63 deg, I 26, (0 0 2); 45.69 deg, I 15, (3 3 0); 48.66 deg, I 47, (1 4 1); 52.15 deg, I 22, (1 3 2); 61.34 deg, I 13, (3 3 2); 86.70 deg, I 13, (2 7 1)


# Sr3Si2Pt3
Computed X-ray diffraction stick pattern, Cu Ka. Input: a GGA-PBE-relaxed structure.

Atomic structure:
Cell lengths 7.978, 14.942, 6.227 Å; angles 90.00, 90.00, 90.00 degrees
Space group Pnma (No. 62)
Asymmetric unit:
Sr (0.016, 0.109, 0.136)
Sr (0.163, 0.250, 0.597)
Si (0.146, 0.593, 0.374)
Pt (0.148, 0.041, 0.614)
Pt (0.188, 0.750, 0.539)

The 10 most intense peaks (2θ = 10–90°), sorted by position:
18.07 deg, I 48, (1 0 1); 25.48 deg, I 60, (1 3 1); 26.54 deg, I 33, (2 0 1); 28.67 deg, I 47, (2 3 0); 30.06 deg, I 63, (1 4 1); 30.83 deg, I 67, (1 0 2); 32.85 deg, I 45, (2 4 0); 35.83 deg, I 56, (1 3 2); 36.75 deg, I 100, (3 0 1); 39.33 deg, I 41, (1 4 2)


# Sr3SiPt3
Computed X-ray diffraction stick pattern, Cu Ka. Input: a GGA-PBE-relaxed structure.

Atomic structure:
Cell lengths 11.366, 4.324, 15.319 Å; angles 90.00, 109.27, 90.00 degrees
Space group C2/m (No. 12)
Asymmetric unit:
Sr (0.009, 0.000, 0.384)
Sr (0.104, 0.000, 0.924)
Sr (0.242, 0.000, 0.224)
Si (0.226, 0.500, 0.391)
Pt (0.058, 0.500, 0.247)
Pt (0.107, 0.500, 0.078)
Pt (0.199, 0.500, 0.545)

The 10 most intense peaks (2θ = 10–90°), sorted by position:
15.61 deg, I 70, (2 0 -1); 22.18 deg, I 39, (1 1 0); 26.71 deg, I 31, (1 1 2); 31.20 deg, I 100, (1 1 -4); 31.47 deg, I 92, (3 1 -1); 36.00 deg, I 38, (4 0 1); 37.46 deg, I 42, (4 0 -5); 37.77 deg, I 40, (3 1 2); 38.99 deg, I 39, (3 1 -5); 41.78 deg, I 46, (0 2 0)


# Sr2Si2Pt
Computed X-ray diffraction stick pattern, Cu Ka. Input: a GGA-PBE-relaxed structure.

Atomic structure:
Cell lengths 4.538, 4.148, 12.784 Å; angles 90.00, 90.00, 90.00 degrees
Space group Amm2 (No. 38)
Asymmetric unit:
Sr (0.000, 0.000, 0.000)
Sr (0.000, 0.000, 0.251)
Si (0.500, 0.000, 0.430)
Si (0.500, 0.000, 0.624)
Pt (0.500, 0.000, 0.821)

The 10 most intense peaks (2θ = 10–90°), sorted by position:
13.85 deg, I 58, (0 0 2); 22.54 deg, I 30, (0 1 1); 24.05 deg, I 32, (1 0 2); 30.02 deg, I 100, (1 1 1); 34.32 deg, I 39, (1 0 4); 36.13 deg, I 69, (1 1 3); 39.73 deg, I 27, (2 0 0); 41.49 deg, I 36, (0 1 5); 43.64 deg, I 20, (0 2 0); 58.80 deg, I 28, (2 1 5)


# Sr2TbSi3Pt12
Computed X-ray diffraction stick pattern, Cu Ka. Input: a GGA-PBE-relaxed structure.

Atomic structure:
Cell lengths 8.4178, 8.4178, 18.1496 Å; angles 90.00, 90.00, 120.00 degrees
Space group R-3m (No. 166, hexagonal axes)
Asymmetric unit:
Sr (0.0000, 0.0000, 0.0988)
Tb (0.0000, 0.0000, 0.5000)
Si (0.0000, 0.5000, 0.0000)
Pt (0.0245, 0.5122, 0.8715)
Pt (0.0405, 0.5203, 0.3655)

The 10 most intense peaks (2θ = 10–90°), sorted by position:
23.09 deg, I 25, (1 0 4); 31.48 deg, I 100, (0 2 4); 34.00 deg, I 27, (1 2 2); 38.21 deg, I 18, (2 1 4); 42.98 deg, I 60, (2 2 0); 47.19 deg, I 43, (2 0 8); 48.03 deg, I 12, (3 0 6); 54.24 deg, I 16, (4 0 4); 65.72 deg, I 13, (0 4 8); 71.58 deg, I 11, (2 4 4)